Entry 1:
# Tm2MnC4
Calculated powder diffractogram, copper Kα. Input: a structure optimized by DFT (PBE).
Peak positions follow from Bragg's law for the DFT cell and can differ from measured ones.

Crystal structure
abc: 7.535 9.367 4.984
angles: 90.00 90.00 90.00
Space group Ibam (No. 72)
One atom of each set of equivalent atoms:
Tm  0.154  0.145  0.000 x8
Mn  0.000  0.500  0.250 x4
C  0.156  0.130  0.500 x8
C  0.172  0.420  0.000 x8

Principal peaks in the range 2θ = 5–70°, by angle:
hkl 1 2 1, 3.109 Å, intensity 100; hkl 1 3 0, 2.884 Å, intensity 45; hkl 2 1 1, 2.862 Å, intensity 88; hkl 0 0 2, 2.492 Å, intensity 27; hkl 3 1 0, 2.426 Å, intensity 30; hkl 1 1 2, 2.294 Å, intensity 24; hkl 3 3 0, 1.957 Å, intensity 17; hkl 0 4 2, 1.706 Å, intensity 23; hkl 2 5 1, 1.590 Å, intensity 22; hkl 3 3 2, 1.539 Å, intensity 32

=====

Entry 2:
# Cs4Hg5Bi2
Calculated powder diffractogram, copper Kα. Input: a structure optimized by DFT (PBE).
Peak positions follow from Bragg's law for the DFT cell and can differ from measured ones.

Crystal structure
abc: 8.892 5.844 9.842
angles: 90.00 91.35 90.00
Space group P2/m (No. 10)
One atom of each set of equivalent atoms:
Cs  0.234  0.000  0.372 x2
Cs  0.243  0.000  0.902 x2
Hg  0.173  0.500  0.629 x2
Hg  0.435  0.500  0.149 x2
Hg  0.500  0.500  0.500 x1
Bi  0.068  0.500  0.143 x2

Principal peaks in the range 2θ = 5–70°, by angle:
hkl 0 1 0, 5.844 Å, intensity 70; hkl 2 1 0, 3.538 Å, intensity 62; hkl 1 1 -2, 3.488 Å, intensity 55; hkl 1 1 2, 3.444 Å, intensity 100; hkl 0 2 0, 2.922 Å, intensity 66; hkl 3 0 -1, 2.858 Å, intensity 40; hkl 3 1 -1, 2.566 Å, intensity 44; hkl 3 0 2, 2.512 Å, intensity 22; hkl 0 0 4, 2.460 Å, intensity 20; hkl 2 1 -3, 2.428 Å, intensity 19